Entry 1:
Diffraction record for DyErB. The powder diffractogram is calculated, not measured: it uses a PBE-relaxed structure and Cu Ka.

Largest 10 diffraction maxima, by angle, 15° ≤ 2θ ≤ 90°:
- 2θ = 28.77°, intensity 1000
- 2θ = 30.94°, intensity 159
- 2θ = 34.25°, intensity 214
- 2θ = 36.35°, intensity 251
- 2θ = 40.94°, intensity 221
- 2θ = 41.33°, intensity 276
- 2θ = 57.18°, intensity 111
- 2θ = 58.61°, intensity 119
- 2θ = 60.38°, intensity 134
- 2θ = 61.91°, intensity 106

Structure:
a b c (Å): 7.591 7.591 7.591
angles (deg): 99.18 99.18 99.18
Atoms (fractional coordinates):
1 Dy 0.177 0.405 0.564
2 Dy 0.405 0.564 0.177
3 Dy 0.436 0.823 0.595
4 Dy 0.564 0.177 0.405
5 Dy 0.595 0.436 0.823
6 Dy 0.823 0.595 0.436
7 Er 0.066 0.683 0.914
8 Er 0.086 0.934 0.317
9 Er 0.317 0.086 0.934
10 Er 0.683 0.914 0.066
11 Er 0.914 0.066 0.683
12 Er 0.934 0.317 0.086
13 B 0.101 0.807 0.630
14 B 0.193 0.370 0.899
15 B 0.370 0.899 0.193
16 B 0.630 0.101 0.807
17 B 0.807 0.630 0.101
18 B 0.899 0.193 0.370

=====

Entry 2:
Diffraction record for Pr3YCd. The powder diffractogram is calculated, not measured: it uses a PBE-relaxed structure and Cu Ka.

Largest 10 diffraction maxima, by angle, 15° ≤ 2θ ≤ 90°:
- 2θ = 29.71°, intensity 377
- 2θ = 31.12°, intensity 547
- 2θ = 31.57°, intensity 1000
- 2θ = 32.48°, intensity 887
- 2θ = 32.75°, intensity 151
- 2θ = 42.14°, intensity 140
- 2θ = 48.20°, intensity 172
- 2θ = 55.07°, intensity 238
- 2θ = 56.81°, intensity 148
- 2θ = 58.48°, intensity 178

Structure:
a b c (Å): 6.924 6.924 13.034
angles (deg): 94.02 94.02 31.65
Atoms (fractional coordinates):
1 Pr 0.039 0.039 0.190
2 Pr 0.145 0.145 0.445
3 Pr 0.364 0.364 0.024
4 Pr 0.636 0.636 0.976
5 Pr 0.855 0.855 0.555
6 Pr 0.961 0.961 0.810
7 Y 0.226 0.226 0.750
8 Y 0.774 0.774 0.250
9 Cd 0.439 0.439 0.370
10 Cd 0.561 0.561 0.630